No. 1
Simulated X-ray powder pattern of Ac3Ga2Ag9 for a wavelength of 1.5418 Å, from a cell relaxed with GGA-PBE.
Peak positions follow from Bragg's law for the DFT cell and can differ from measured ones.

Cell and atoms:
```
data_Ac3Ga2Ag9
_cell_length_a 4.7857
_cell_length_b 10.1215
_cell_length_c 13.5454
_cell_angle_alpha 90.00
_cell_angle_beta 90.00
_cell_angle_gamma 90.00
_symmetry_space_group_name_H-M 'I m m m'
_symmetry_Int_Tables_number 71
_symmetry_space_group_name_Hall '-I 2 2'
loop_
_atom_site_label
_atom_site_fract_x
_atom_site_fract_y
_atom_site_fract_z
Ac1 0.0000 0.0000 0.0000
Ac2 0.0000 0.0000 0.3058
Ga1 0.0000 0.2027 0.5000
Ag1 0.0000 0.2798 0.1264
Ag2 0.0000 0.3600 0.3363
Ag3 0.0000 0.5000 0.0000
```

Largest 10 diffraction maxima, sorted by position, 10 to 90 degrees two-theta:
- 2θ = 27.2°, I = 22, (1 0 3)
- 2θ = 31.8°, I = 18, (0 2 4)
- 2θ = 32.5°, I = 100, (1 3 0)
- 2θ = 33.1°, I = 19, (0 3 3)
- 2θ = 33.6°, I = 12, (1 1 4)
- 2θ = 35.1°, I = 14, (1 3 2)
- 2θ = 37.6°, I = 33, (2 0 0)
- 2θ = 51.0°, I = 14, (2 3 3)
- 2θ = 63.6°, I = 14, (1 4 7)
- 2θ = 64.6°, I = 15, (3 3 0)



No. 2
Simulated X-ray powder pattern of AcMg2Ga2Ag for a wavelength of 1.5418 Å, from a cell relaxed with GGA-PBE.
Peak positions follow from Bragg's law for the DFT cell and can differ from measured ones.

Cell and atoms:
```
data_AcMg2Ga2Ag
_cell_length_a 5.2185
_cell_length_b 5.2185
_cell_length_c 11.6948
_cell_angle_alpha 90.00
_cell_angle_beta 90.00
_cell_angle_gamma 90.00
_symmetry_space_group_name_H-M 'I 4/m m m'
_symmetry_Int_Tables_number 139
_symmetry_space_group_name_Hall '-I 4 2'
loop_
_atom_site_label
_atom_site_fract_x
_atom_site_fract_y
_atom_site_fract_z
Ac1 0.0000 0.0000 0.0000
Mg1 0.0000 0.5000 0.2500
Ga1 0.0000 0.0000 0.2884
Ag1 0.0000 0.0000 0.5000
```

Largest 10 diffraction maxima, sorted by position, 10 to 90 degrees two-theta:
- 2θ = 24.1°, I = 100, (1 1 0)
- 2θ = 28.6°, I = 76, (1 1 2)
- 2θ = 30.6°, I = 33, (0 0 4)
- 2θ = 34.4°, I = 63, (2 0 0)
- 2θ = 39.3°, I = 44, (1 1 4)
- 2θ = 46.7°, I = 44, (2 0 4)
- 2θ = 49.4°, I = 22, (2 2 0)
- 2θ = 55.7°, I = 20, (3 1 0)
- 2θ = 59.2°, I = 26, (2 2 4)
- 2θ = 64.9°, I = 20, (3 1 4)



No. 3
Simulated X-ray powder pattern of AcGaAg2O4 for a wavelength of 1.5418 Å, from a cell relaxed with GGA-PBE.
Peak positions follow from Bragg's law for the DFT cell and can differ from measured ones.

Cell and atoms:
```
data_AcGaAg2O4
_cell_length_a 7.6948
_cell_length_b 10.0437
_cell_length_c 6.5664
_cell_angle_alpha 90.00
_cell_angle_beta 90.00
_cell_angle_gamma 90.00
_symmetry_space_group_name_H-M 'F m m 2'
_symmetry_Int_Tables_number 42
_symmetry_space_group_name_Hall 'F 2 -2'
loop_
_atom_site_label
_atom_site_fract_x
_atom_site_fract_y
_atom_site_fract_z
Ac1 0.0000 0.0000 0.0000
Ga1 0.0000 0.0000 0.4928
Ag1 0.2500 0.2500 0.2889
O1 0.0000 0.1502 0.3122
O2 0.1908 0.0000 0.6633
```

Largest 10 diffraction maxima, sorted by position, 10 to 90 degrees two-theta:
- 2θ = 19.9°, I = 37, (1 1 1)
- 2θ = 29.2°, I = 100, (2 2 0)
- 2θ = 32.6°, I = 82, (0 2 2)
- 2θ = 35.8°, I = 35, (0 4 0)
- 2θ = 36.0°, I = 58, (2 0 2)
- 2θ = 47.2°, I = 17, (4 0 0)
- 2θ = 51.6°, I = 49, (2 4 2)
- 2θ = 58.6°, I = 31, (4 2 2)
- 2θ = 64.4°, I = 19, (2 2 4)
- 2θ = 86.9°, I = 19, (2 8 2)



No. 4
Simulated X-ray powder pattern of AcGaAg2Pd4 for a wavelength of 1.5418 Å, from a cell relaxed with GGA-PBE.
Peak positions follow from Bragg's law for the DFT cell and can differ from measured ones.

Cell and atoms:
```
data_AcGaAg2Pd4
_cell_length_a 4.5811
_cell_length_b 4.5811
_cell_length_c 25.1644
_cell_angle_alpha 90.00
_cell_angle_beta 90.00
_cell_angle_gamma 120.00
_symmetry_space_group_name_H-M 'R -3 m'
_symmetry_Int_Tables_number 166
_symmetry_space_group_name_Hall '-R 3 2"'
loop_
_atom_site_label
_atom_site_fract_x
_atom_site_fract_y
_atom_site_fract_z
Ac1 0.0000 0.0000 0.0000
Ga1 0.0000 0.0000 0.5000
Ag1 0.0000 0.0000 0.2439
Pd1 0.0000 0.0000 0.1320
Pd2 0.0000 0.0000 0.4012
```

Largest 10 diffraction maxima, sorted by position, 10 to 90 degrees two-theta:
- 2θ = 28.7°, I = 22, (0 1 5)
- 2θ = 33.6°, I = 22, (1 0 7)
- 2θ = 36.5°, I = 80, (0 1 8)
- 2θ = 39.3°, I = 100, (1 1 0)
- 2θ = 52.7°, I = 9, (0 2 7)
- 2θ = 54.7°, I = 27, (2 0 8)
- 2θ = 59.8°, I = 10, (1 1 12)
- 2θ = 69.4°, I = 32, (1 2 8)
- 2θ = 71.3°, I = 17, (3 0 0)
- 2θ = 84.6°, I = 11, (2 2 0)



No. 5
Simulated X-ray powder pattern of AcGaAgPd for a wavelength of 1.5418 Å, from a cell relaxed with GGA-PBE.
Peak positions follow from Bragg's law for the DFT cell and can differ from measured ones.

Cell and atoms:
```
data_AcGaAgPd
_cell_length_a 7.1782
_cell_length_b 7.1782
_cell_length_c 7.1782
_cell_angle_alpha 90.00
_cell_angle_beta 90.00
_cell_angle_gamma 90.00
_symmetry_space_group_name_H-M 'F -4 3 m'
_symmetry_Int_Tables_number 216
_symmetry_space_group_name_Hall 'F -4 2 3'
loop_
_atom_site_label
_atom_site_fract_x
_atom_site_fract_y
_atom_site_fract_z
Ac1 0.0000 0.0000 0.0000
Ga1 0.0000 0.0000 0.5000
Ag1 0.2500 0.2500 0.2500
Pd1 0.2500 0.2500 0.7500
```

Largest 10 diffraction maxima, sorted by position, 10 to 90 degrees two-theta:
- 2θ = 21.4°, I = 19, (1 1 1)
- 2θ = 35.4°, I = 100, (2 2 0)
- 2θ = 41.7°, I = 10, (3 1 1)
- 2θ = 50.9°, I = 18, (4 0 0)
- 2θ = 55.8°, I = 5, (3 3 1)
- 2θ = 63.5°, I = 36, (4 2 2)
- 2θ = 67.8°, I = 4, (5 1 1)
- 2θ = 74.8°, I = 11, (4 4 0)
- 2θ = 78.9°, I = 4, (5 3 1)
- 2θ = 85.6°, I = 16, (6 2 0)



No. 6
Simulated X-ray powder pattern of AcScGaAg for a wavelength of 1.5418 Å, from a cell relaxed with GGA-PBE.
Peak positions follow from Bragg's law for the DFT cell and can differ from measured ones.

Cell and atoms:
```
data_AcScGaAg
_cell_length_a 7.4362
_cell_length_b 7.4362
_cell_length_c 7.4362
_cell_angle_alpha 90.00
_cell_angle_beta 90.00
_cell_angle_gamma 90.00
_symmetry_space_group_name_H-M 'F -4 3 m'
_symmetry_Int_Tables_number 216
_symmetry_space_group_name_Hall 'F -4 2 3'
loop_
_atom_site_label
_atom_site_fract_x
_atom_site_fract_y
_atom_site_fract_z
Ac1 0.0000 0.0000 0.0000
Sc1 0.0000 0.0000 0.5000
Ga1 0.2500 0.2500 0.7500
Ag1 0.2500 0.2500 0.2500
```

Largest 10 diffraction maxima, sorted by position, 10 to 90 degrees two-theta:
- 2θ = 20.7°, I = 35, (1 1 1)
- 2θ = 34.1°, I = 100, (2 2 0)
- 2θ = 40.2°, I = 21, (3 1 1)
- 2θ = 49.0°, I = 18, (4 0 0)
- 2θ = 53.7°, I = 9, (3 3 1)
- 2θ = 61.0°, I = 36, (4 2 2)
- 2θ = 65.2°, I = 7, (5 1 1)
- 2θ = 71.8°, I = 11, (4 4 0)
- 2θ = 75.7°, I = 7, (5 3 1)
- 2θ = 81.9°, I = 16, (6 2 0)



No. 7
Simulated X-ray powder pattern of AcGa2SiAg for a wavelength of 1.5418 Å, from a cell relaxed with GGA-PBE.
Peak positions follow from Bragg's law for the DFT cell and can differ from measured ones.

Cell and atoms:
```
data_AcGa2SiAg
_cell_length_a 4.4917
_cell_length_b 4.5730
_cell_length_c 10.4575
_cell_angle_alpha 90.00
_cell_angle_beta 90.00
_cell_angle_gamma 90.00
_symmetry_space_group_name_H-M 'I m m 2'
_symmetry_Int_Tables_number 44
loop_
_symmetry_equiv_pos_as_xyz
'x,y,z'
'-x,-y,z'
'-x,y,z'
'x,-y,z'
'x+1/2,y+1/2,z+1/2'
'-x+1/2,-y+1/2,z+1/2'
'-x+1/2,y+1/2,z+1/2'
'x+1/2,-y+1/2,z+1/2'
loop_
_atom_site_label
_atom_site_fract_x
_atom_site_fract_y
_atom_site_fract_z
Ac1 0.0000 0.0000 0.0000
Ga1 0.0000 0.0000 0.6191
Ga2 0.0000 0.5000 0.2537
Si1 0.0000 0.0000 0.3825
Ag1 0.0000 0.5000 0.7540
```

Largest 10 diffraction maxima, sorted by position, 10 to 90 degrees two-theta:
- 2θ = 21.2°, I = 17, (0 1 1)
- 2θ = 21.5°, I = 21, (1 0 1)
- 2θ = 32.3°, I = 26, (0 1 3)
- 2θ = 32.5°, I = 23, (1 0 3)
- 2θ = 32.8°, I = 100, (1 1 2)
- 2θ = 39.4°, I = 22, (0 2 0)
- 2θ = 40.2°, I = 21, (2 0 0)
- 2θ = 52.4°, I = 14, (2 1 3)
- 2θ = 57.5°, I = 15, (2 2 0)
- 2θ = 60.5°, I = 15, (1 1 6)



No. 8
Simulated X-ray powder pattern of Ac2Zn4GaAg3 for a wavelength of 1.5418 Å, from a cell relaxed with GGA-PBE.
Peak positions follow from Bragg's law for the DFT cell and can differ from measured ones.

Cell and atoms:
```
data_Ac2Zn4GaAg3
_cell_length_a 4.4926
_cell_length_b 4.4926
_cell_length_c 11.0403
_cell_angle_alpha 90.00
_cell_angle_beta 90.00
_cell_angle_gamma 90.00
_symmetry_space_group_name_H-M 'P -4 m 2'
_symmetry_Int_Tables_number 115
loop_
_symmetry_equiv_pos_as_xyz
'x,y,z'
'y,-x,-z'
'-x,-y,z'
'-y,x,-z'
'-x,y,z'
'-y,-x,-z'
'x,-y,z'
'y,x,-z'
loop_
_atom_site_label
_atom_site_fract_x
_atom_site_fract_y
_atom_site_fract_z
Ac1 0.0000 0.5000 0.2457
Zn1 0.0000 0.0000 0.5000
Zn2 0.0000 0.5000 0.8722
Zn3 0.5000 0.5000 0.5000
Ga1 0.5000 0.5000 0.0000
Ag1 0.0000 0.0000 0.0000
Ag2 0.0000 0.5000 0.6328
```

Largest 10 diffraction maxima, sorted by position, 10 to 90 degrees two-theta:
- 2θ = 28.1°, I = 25, (1 1 0)
- 2θ = 31.4°, I = 73, (1 0 3)
- 2θ = 32.5°, I = 100, (1 1 2)
- 2θ = 40.1°, I = 54, (2 0 0)
- 2θ = 45.8°, I = 31, (1 0 5)
- 2θ = 51.8°, I = 36, (2 1 3)
- 2θ = 57.9°, I = 13, (1 1 6)
- 2θ = 58.1°, I = 18, (2 2 0)
- 2θ = 62.5°, I = 26, (2 1 5)
- 2θ = 68.2°, I = 25, (3 1 2)